The following is a theoretical X-ray powder pattern of Ac4PmSi4. It was derived from the PBE geometry in Alexandria, using copper Kα.

Top 8 peaks for 5° ≤ 2θ ≤ 70°, by intensity:
| Position (°2θ) | I (rel.) | h k l |
| --- | --- | --- |
| 25.27 | 100 | 2 1 1 |
| 29.93 | 84 | 1 3 0 |
| 23.42 | 58 | 2 0 1 |
| 29.49 | 50 | 1 0 2 |
| 44.73 | 33 | 2 3 2 |
| 33.11 | 31 | 3 1 1 |
| 35.20 | 30 | 1 2 2 |
| 50.39 | 29 | 5 0 1 |

Crystal structure
Cell lengths 9.4418, 9.4418, 6.3960 Å; angles 90.00, 90.00, 90.00 degrees
Space group P4_2/n (No. 86, origin choice 2)
Asymmetric unit:
Ac1 0.0481 0.6796 0.1103 x8
Pm1 0.2500 0.2500 0.2500 x2
Si1 0.0033 0.3887 0.4040 x8